# 1
# Hf2N2O
Computed powder X-ray diffraction pattern, Cu Kα X-rays. Input: the GGA-PBE geometry in the Materials Project.

Peak list (10 most intense, 2θ from 10° to 80°, sorted by position)
(hkl)	2θ/deg	d_spacing	I/Imax
2 -1 0	21.59	4.117	13.5
1 1 1	30.71	2.911	100.0
-3 1 1	30.77	2.906	32.2
2 -2 2	35.55	2.525	15.7
2 2 -2	35.66	2.518	33.7
0 0 4	51.17	1.785	14.5
0 4 0	51.28	1.781	22.4
4 0 -4	51.39	1.778	7.3
3 3 -1	60.92	1.521	12.3
1 5 -3	61.05	1.518	19.1

Cell and atoms:
Lattice parameters (Å, degrees): 8.718 8.724 8.728 109.50 109.23 109.49
Positions (direct):
Hf 0.000 0.000 0.000
Hf 0.005 0.504 0.490
Hf 0.036 0.756 0.275
Hf 0.220 0.973 0.747
Hf 0.244 0.218 0.455
Hf 0.249 0.726 0.958
Hf 0.280 0.538 0.241
Hf 0.450 0.254 0.204
Hf 0.484 0.006 0.479
Hf 0.506 0.506 0.994
Hf 0.524 0.748 0.780
Hf 0.701 0.477 0.738
Hf 0.736 0.783 0.520
Hf 0.745 0.297 0.027
Hf 0.780 0.035 0.246
Hf 0.956 0.247 0.695
N 0.027 0.494 0.257
N 0.038 0.281 0.506
N 0.217 0.275 0.224
N 0.227 0.966 0.999
N 0.258 0.775 0.218
N 0.263 0.739 0.711
N 0.266 0.013 0.534
N 0.446 0.471 0.718
N 0.464 0.232 0.948
N 0.512 0.244 0.456
N 0.526 0.779 0.037
N 0.540 0.543 0.265
N 0.724 0.993 0.451
N 0.766 0.734 0.749
N 0.767 0.548 0.022
N 0.976 0.956 0.214
O 0.012 0.055 0.764
O 0.214 0.452 0.955
O 0.481 0.766 0.526
O 0.723 0.265 0.261
O 0.736 0.230 0.767
O 0.756 0.043 0.978
O 0.946 0.732 0.485
O 0.960 0.510 0.733

# 2
# Hf2N2O
Computed powder X-ray diffraction pattern, Cu Kα X-rays. Input: the GGA-PBE geometry in the Materials Project.

Peak list (10 most intense, 2θ from 10° to 80°, sorted by position)
(hkl)	2θ/deg	d_spacing	I/Imax
1 1 -3	30.62	2.919	100.0
1 -3 1	30.72	2.910	49.4
-3 1 1	30.87	2.896	47.4
2 -2 2	35.61	2.521	73.9
0 0 4	50.99	1.791	11.5
0 4 -4	51.22	1.784	11.8
4 0 0	51.35	1.779	21.6
1 -3 5	60.82	1.523	19.5
3 3 -5	60.94	1.520	14.3
5 -3 1	61.16	1.515	13.4

Cell and atoms:
Lattice parameters (Å, degrees): 8.689 8.730 8.749 109.45 109.34 109.32
Positions (direct):
Hf 0.000 0.000 0.000
Hf 0.004 0.507 0.508
Hf 0.040 0.334 0.786
Hf 0.218 0.041 0.750
Hf 0.238 0.784 0.025
Hf 0.249 0.293 0.546
Hf 0.291 0.546 0.321
Hf 0.462 0.262 0.285
Hf 0.490 0.081 0.568
Hf 0.496 0.579 0.070
Hf 0.524 0.820 0.784
Hf 0.715 0.035 0.249
Hf 0.738 0.294 0.026
Hf 0.754 0.785 0.531
Hf 0.780 0.552 0.821
Hf 0.959 0.758 0.286
N 0.008 0.565 0.764
N 0.022 0.809 0.084
N 0.216 0.019 0.486
N 0.234 0.556 0.073
N 0.260 0.037 0.005
N 0.281 0.568 0.575
N 0.291 0.325 0.807
N 0.478 0.786 0.992
N 0.482 0.056 0.808
N 0.522 0.521 0.304
N 0.523 0.335 0.566
N 0.703 0.515 0.023
N 0.737 0.757 0.766
N 0.760 0.839 0.310
N 0.973 0.248 0.500
N 0.986 0.757 0.547
O 0.015 0.521 0.259
O 0.199 0.260 0.259
O 0.498 0.024 0.313
O 0.506 0.829 0.513
O 0.708 0.299 0.264
O 0.788 0.278 0.803
O 0.807 0.078 0.060
O 0.970 0.067 0.770

# 3
# Hf2N2O
Computed powder X-ray diffraction pattern, Cu Kα X-rays. Input: the GGA-PBE geometry in the Materials Project.

Peak list (10 most intense, 2θ from 10° to 80°, sorted by position)
(hkl)	2θ/deg	d_spacing	I/Imax
1 -2 1	21.59	4.117	11.4
-3 1 1	30.71	2.911	100.0
2 2 -2	35.61	2.521	37.4
2 -1 2	37.84	2.377	6.6
4 -3 0	45.87	1.978	7.4
0 4 0	51.24	1.783	27.7
4 0 -4	51.31	1.781	5.9
3 3 -1	60.89	1.521	11.3
5 1 -3	60.98	1.519	17.1
2 2 -6	63.95	1.456	4.6

Cell and atoms:
Lattice parameters (Å, degrees): 8.727 8.730 8.732 109.54 109.34 109.45
Positions (direct):
Hf 0.000 0.000 0.000
Hf 0.006 0.507 0.504
Hf 0.045 0.283 0.828
Hf 0.233 0.258 0.549
Hf 0.249 0.034 0.779
Hf 0.254 0.542 0.303
Hf 0.289 0.825 0.038
Hf 0.466 0.783 0.750
Hf 0.503 0.072 0.568
Hf 0.511 0.578 0.074
Hf 0.549 0.291 0.332
Hf 0.724 0.759 0.542
Hf 0.741 0.028 0.281
Hf 0.759 0.550 0.784
Hf 0.803 0.326 0.053
Hf 0.978 0.791 0.260
N 0.020 0.268 0.063
N 0.028 0.584 0.300
N 0.031 0.767 0.032
N 0.212 0.772 0.759
N 0.224 0.993 0.518
N 0.264 0.503 0.528
N 0.302 0.314 0.827
N 0.487 0.314 0.556
N 0.495 0.811 0.516
N 0.517 0.029 0.323
N 0.528 0.796 0.017
N 0.724 0.780 0.808
N 0.746 0.262 0.242
N 0.769 0.808 0.332
N 0.799 0.550 0.561
N 0.987 0.006 0.747
O 0.000 0.058 0.262
O 0.250 0.574 0.054
O 0.294 0.089 0.065
O 0.478 0.487 0.272
O 0.532 0.079 0.836
O 0.708 0.520 0.014
O 0.792 0.299 0.779
O 0.979 0.275 0.566

# 4
# Hf2N2O
Computed powder X-ray diffraction pattern, Cu Kα X-rays. Input: the GGA-PBE geometry in the Materials Project.

Peak list (10 most intense, 2θ from 10° to 80°, sorted by position)
(hkl)	2θ/deg	d_spacing	I/Imax
0 1 -2	21.57	4.120	9.2
1 1 1	30.61	2.920	33.7
1 -3 1	30.77	2.906	100.0
2 2 -2	35.63	2.520	49.8
0 4 0	51.15	1.786	15.0
4 0 0	51.23	1.783	7.2
0 4 -4	51.37	1.779	22.1
3 3 -1	60.82	1.523	9.3
1 5 -3	60.98	1.519	15.5
3 3 -5	61.08	1.517	12.4

Cell and atoms:
Lattice parameters (Å, degrees): 8.710 8.720 8.725 109.37 109.36 109.39
Positions (direct):
Hf 0.000 0.000 0.000
Hf 0.003 0.502 0.503
Hf 0.040 0.246 0.714
Hf 0.209 0.449 0.167
Hf 0.233 0.206 0.456
Hf 0.265 0.716 0.968
Hf 0.289 0.966 0.748
Hf 0.474 0.189 0.219
Hf 0.500 0.424 0.933
Hf 0.505 0.931 0.433
Hf 0.537 0.757 0.717
Hf 0.717 0.474 0.683
Hf 0.745 0.219 0.956
Hf 0.763 0.717 0.468
Hf 0.782 0.965 0.259
Hf 0.956 0.685 0.214
N 0.011 0.252 0.454
N 0.024 0.759 0.498
N 0.024 0.942 0.225
N 0.239 0.170 0.691
N 0.269 0.264 0.241
N 0.290 0.702 0.733
N 0.294 0.489 0.978
N 0.515 0.988 0.694
N 0.519 0.954 0.192
N 0.522 0.224 0.012
N 0.702 0.680 0.194
N 0.720 0.441 0.426
N 0.762 0.453 0.929
N 0.781 0.987 0.514
N 0.793 0.749 0.742
N 0.975 0.203 0.923
O 0.199 0.937 0.951
O 0.217 0.723 0.207
O 0.472 0.671 0.433
O 0.477 0.484 0.697
O 0.489 0.180 0.482
O 0.736 0.976 0.000
O 0.980 0.485 0.743
O 0.990 0.444 0.239

# 5
# Hf2N2O
Computed powder X-ray diffraction pattern, Cu Kα X-rays. Input: the GGA-PBE geometry in the Materials Project.

Peak list (10 most intense, 2θ from 10° to 80°, sorted by position)
(hkl)	2θ/deg	d_spacing	I/Imax
0 0 3	16.89	5.248	31.7
1 1 0	27.76	3.214	16.8
0 2 1	32.68	2.741	100.0
2 0 2	34.17	2.624	40.0
0 2 4	39.66	2.272	18.5
3 0 0	49.10	1.855	7.0
1 2 5	52.30	1.749	37.7
2 2 0	57.34	1.607	39.9
4 0 1	67.58	1.386	13.0
0 2 10	68.47	1.370	18.4

Cell and atoms:
Lattice parameters (Å, degrees): 6.430 6.430 15.731 90.00 90.00 120.00
Positions (direct):
Hf 0.000 0.000 0.000
Hf 0.000 0.000 0.372
Hf 0.000 0.000 0.628
Hf 0.000 0.500 0.500
Hf 0.167 0.334 0.834
Hf 0.167 0.833 0.834
Hf 0.333 0.667 0.045
Hf 0.333 0.667 0.668
Hf 0.334 0.167 0.166
Hf 0.500 0.000 0.500
Hf 0.500 0.500 0.500
Hf 0.666 0.833 0.834
Hf 0.667 0.333 0.332
Hf 0.667 0.333 0.955
Hf 0.833 0.167 0.166
Hf 0.833 0.666 0.166
N 0.000 0.000 0.240
N 0.000 0.000 0.760
N 0.156 0.312 0.087
N 0.156 0.844 0.087
N 0.177 0.354 0.583
N 0.177 0.823 0.583
N 0.312 0.156 0.913
N 0.333 0.667 0.913
N 0.354 0.177 0.417
N 0.646 0.823 0.583
N 0.667 0.333 0.087
N 0.688 0.844 0.087
N 0.823 0.177 0.417
N 0.823 0.646 0.417
N 0.844 0.156 0.913
N 0.844 0.688 0.913
O 0.053 0.527 0.758
O 0.333 0.667 0.440
O 0.473 0.527 0.758
O 0.473 0.947 0.758
O 0.527 0.053 0.242
O 0.527 0.473 0.242
O 0.667 0.333 0.560
O 0.947 0.473 0.242

# 6
# Hf2N2O
Computed powder X-ray diffraction pattern, Cu Kα X-rays. Input: the GGA-PBE geometry in the Materials Project.

Peak list (10 most intense, 2θ from 10° to 80°, sorted by position)
(hkl)	2θ/deg	d_spacing	I/Imax
0 2 -1	21.58	4.117	11.4
-3 1 1	30.71	2.911	100.0
2 -2 2	35.61	2.521	37.4
-1 2 2	37.83	2.378	6.3
1 3 -4	45.86	1.979	7.9
4 0 0	51.22	1.784	27.8
4 -4 0	51.37	1.779	5.7
3 -1 3	60.89	1.521	18.7
5 -3 1	61.03	1.518	9.7
-2 1 5	62.41	1.488	4.2

Cell and atoms:
Lattice parameters (Å, degrees): 8.722 8.726 8.743 109.47 109.55 109.29
Positions (direct):
Hf 0.000 0.000 0.000
Hf 0.006 0.516 0.490
Hf 0.040 0.763 0.288
Hf 0.223 0.967 0.748
Hf 0.258 0.216 0.466
Hf 0.264 0.730 0.962
Hf 0.290 0.543 0.242
Hf 0.478 0.259 0.220
Hf 0.512 0.520 0.014
Hf 0.520 0.028 0.511
Hf 0.549 0.771 0.794
Hf 0.722 0.480 0.755
Hf 0.755 0.790 0.529
Hf 0.765 0.302 0.041
Hf 0.789 0.043 0.247
Hf 0.969 0.259 0.718
N 0.002 0.973 0.231
N 0.046 0.501 0.264
N 0.232 0.464 0.966
N 0.249 0.979 0.015
N 0.279 0.746 0.726
N 0.286 0.026 0.552
N 0.515 0.252 0.468
N 0.542 0.783 0.045
N 0.551 0.543 0.274
N 0.737 0.274 0.275
N 0.738 0.999 0.458
N 0.751 0.241 0.774
N 0.768 0.045 0.984
N 0.778 0.559 0.034
N 0.781 0.737 0.760
N 0.964 0.741 0.492
O 0.023 0.061 0.777
O 0.061 0.291 0.520
O 0.233 0.287 0.240
O 0.273 0.784 0.231
O 0.458 0.475 0.727
O 0.473 0.239 0.953
O 0.491 0.771 0.532
O 0.972 0.519 0.737

# 7
# Hf2N2O
Computed powder X-ray diffraction pattern, Cu Kα X-rays. Input: the GGA-PBE geometry in the Materials Project.

Peak list (10 most intense, 2θ from 10° to 80°, sorted by position)
(hkl)	2θ/deg	d_spacing	I/Imax
2 0 -1	21.57	4.119	12.2
1 1 -3	30.68	2.914	100.0
-3 1 1	30.81	2.902	32.6
2 -2 2	35.61	2.521	49.6
1 3 0	45.81	1.981	5.9
0 4 -4	51.16	1.785	22.6
4 0 -4	51.33	1.780	21.8
1 -3 5	60.86	1.522	19.0
3 -5 3	60.96	1.520	9.5
5 -3 1	61.08	1.517	9.1

Cell and atoms:
Lattice parameters (Å, degrees): 8.706 8.731 8.746 109.52 109.41 109.33
Positions (direct):
Hf 0.000 0.000 0.000
Hf 0.006 0.508 0.509
Hf 0.044 0.222 0.758
Hf 0.222 0.679 0.965
Hf 0.255 0.958 0.718
Hf 0.267 0.488 0.222
Hf 0.294 0.252 0.469
Hf 0.478 0.724 0.687
Hf 0.499 0.930 0.426
Hf 0.508 0.441 0.938
Hf 0.541 0.215 0.248
Hf 0.707 0.177 0.957
Hf 0.744 0.459 0.700
Hf 0.751 0.957 0.208
Hf 0.794 0.751 0.470
Hf 0.974 0.727 0.194
N 0.016 0.961 0.754
N 0.031 0.730 0.445
N 0.032 0.004 0.265
N 0.219 0.705 0.224
N 0.266 0.738 0.759
N 0.298 0.473 0.988
N 0.485 0.211 0.992
N 0.486 0.936 0.170
N 0.497 0.986 0.684
N 0.512 0.195 0.487
N 0.525 0.512 0.730
N 0.527 0.695 0.454
N 0.709 0.696 0.182
N 0.725 0.929 0.946
N 0.745 0.501 0.478
N 0.978 0.418 0.706
O 0.203 0.450 0.435
O 0.237 0.195 0.667
O 0.287 0.231 0.206
O 0.775 0.435 0.957
O 0.793 0.016 0.489
O 0.805 0.243 0.254
O 0.984 0.244 0.983
O 0.991 0.741 0.943